Diffraction record for Sm4Zn3In. The powder X-ray diffraction pattern is simulated, not measured: it uses a structure optimized by DFT (PBE) and Cu Kα (λ = 1.5418 Å).
Peak positions follow from Bragg's law for the DFT cell and can differ from measured ones.

Unit cell a=3.694 b=5.234 c=10.470 alpha=90.00 beta=90.00 gamma=90.00
Fractional positions:
Sm (0.000, 0.000, 0.000)
Sm (0.000, 0.000, 0.500)
Sm (0.000, 0.500, 0.239)
Sm (0.000, 0.500, 0.761)
Zn (0.500, 0.000, 0.248)
Zn (0.500, 0.000, 0.752)
Zn (0.500, 0.500, 0.000)
In (0.500, 0.500, 0.500)

Most intense lines, 2θ from 10° to 80°, by angle:
2theta, I/Imax
24.06, 100
34.28, 1000
42.32, 30
49.23, 117
49.34, 60
55.52, 27
55.61, 14
61.39, 357
72.24, 108
77.39, 18

Diffraction record for Sm2Zn2In3. The powder X-ray diffraction pattern is simulated, not measured: it uses a structure optimized by DFT (PBE) and Cu Kα (λ = 1.5418 Å).
Peak positions follow from Bragg's law for the DFT cell and can differ from measured ones.

Unit cell a=10.317 b=10.317 c=7.302 alpha=90.00 beta=90.00 gamma=154.07
Fractional positions:
Sm (0.045, 0.955, 0.750)
Sm (0.161, 0.839, 0.250)
Sm (0.839, 0.161, 0.750)
Sm (0.955, 0.045, 0.250)
Zn (0.310, 0.690, 0.061)
Zn (0.310, 0.690, 0.439)
Zn (0.690, 0.310, 0.561)
Zn (0.690, 0.310, 0.939)
In (0.219, 0.781, 0.750)
In (0.434, 0.566, 0.558)
In (0.434, 0.566, 0.942)
In (0.566, 0.434, 0.058)
In (0.566, 0.434, 0.442)
In (0.781, 0.219, 0.250)

Most intense lines, 2θ from 10° to 80°, by angle:
2theta, I/Imax
29.34, 305
31.52, 1000
31.92, 977
35.72, 225
38.91, 454
41.21, 317
44.66, 157
53.87, 188
57.96, 228
71.71, 163

Diffraction record for SmZrIn4. The powder X-ray diffraction pattern is simulated, not measured: it uses a structure optimized by DFT (PBE) and Cu Kα (λ = 1.5418 Å).
Peak positions follow from Bragg's law for the DFT cell and can differ from measured ones.

Unit cell a=5.911 b=5.911 c=5.911 alpha=60.00 beta=60.00 gamma=60.00
Fractional positions:
Sm (0.000, 0.000, 0.000)
Zr (0.250, 0.250, 0.250)
In (0.126, 0.625, 0.625)
In (0.625, 0.126, 0.625)
In (0.625, 0.625, 0.126)
In (0.625, 0.625, 0.625)

Most intense lines, 2θ from 10° to 80°, by angle:
2theta, I/Imax
18.38, 54
30.24, 275
35.62, 1000
37.26, 394
53.71, 108
57.26, 329
62.89, 280
71.36, 46
74.42, 112
75.43, 142

Diffraction record for In3Sn2. The powder X-ray diffraction pattern is simulated, not measured: it uses a structure optimized by DFT (PBE) and Cu Kα (λ = 1.5418 Å).
Peak positions follow from Bragg's law for the DFT cell and can differ from measured ones.

Unit cell a=13.853 b=13.853 c=13.853 alpha=14.12 beta=14.12 gamma=14.12
Fractional positions:
In (0.000, 0.000, 0.000)
In (0.400, 0.400, 0.400)
In (0.600, 0.600, 0.600)
Sn (0.199, 0.199, 0.199)
Sn (0.801, 0.801, 0.801)

Most intense lines, 2θ from 10° to 80°, by angle:
2theta, I/Imax
32.25, 1000
32.65, 322
37.53, 664
53.86, 232
54.39, 225
64.18, 137
64.42, 270
64.89, 132
67.49, 118
68.41, 38

Diffraction record for InSn. The powder X-ray diffraction pattern is simulated, not measured: it uses a structure optimized by DFT (PBE) and Cu Kα (λ = 1.5418 Å).
Peak positions follow from Bragg's law for the DFT cell and can differ from measured ones.

Unit cell a=13.776 b=5.087 c=5.623 alpha=90.00 beta=90.00 gamma=90.00
Fractional positions:
In (0.000, 0.016, 0.000)
In (0.183, 0.499, 0.492)
In (0.317, 0.501, 0.992)
In (0.500, 0.984, 0.500)
In (0.683, 0.501, 0.992)
In (0.817, 0.499, 0.492)
Sn (0.000, 0.516, 0.239)
Sn (0.197, 0.000, 0.794)
Sn (0.303, 0.000, 0.294)
Sn (0.500, 0.484, 0.739)
Sn (0.697, 0.000, 0.294)
Sn (0.803, 0.000, 0.794)

Most intense lines, 2θ from 10° to 80°, by angle:
2theta, I/Imax
24.47, 991
25.04, 918
30.67, 227
35.29, 532
38.86, 1000
39.24, 226
40.55, 782
43.76, 409
65.07, 209
66.24, 285

Diffraction record for In2Sn. The powder X-ray diffraction pattern is simulated, not measured: it uses a structure optimized by DFT (PBE) and Cu Kα (λ = 1.5418 Å).
Peak positions follow from Bragg's law for the DFT cell and can differ from measured ones.

Unit cell a=7.828 b=7.771 c=3.342 alpha=78.58 beta=76.68 gamma=24.74
Fractional positions:
In (0.165, 0.165, 0.835)
In (0.835, 0.835, 0.165)
Sn (0.500, 0.500, 0.500)

Most intense lines, 2θ from 10° to 80°, by angle:
2theta, I/Imax
32.39, 1000
36.26, 184
36.60, 180
39.76, 143
52.47, 126
54.90, 110
62.80, 146
63.25, 143
67.55, 118
67.80, 116

Diffraction record for In13Sn3. The powder X-ray diffraction pattern is simulated, not measured: it uses a structure optimized by DFT (PBE) and Cu Kα (λ = 1.5418 Å).
Peak positions follow from Bragg's law for the DFT cell and can differ from measured ones.

Unit cell a=9.051 b=6.940 c=6.940 alpha=89.99 beta=90.00 gamma=90.00
Fractional positions:
In (0.000, 0.000, 0.000)
In (0.000, 0.001, 0.513)
In (0.000, 0.513, 0.001)
In (0.000, 0.513, 0.513)
In (0.251, 0.257, 0.756)
In (0.251, 0.756, 0.257)
In (0.268, 0.760, 0.760)
In (0.500, 0.017, 0.498)
In (0.500, 0.498, 0.017)
In (0.500, 0.498, 0.498)
In (0.732, 0.760, 0.760)
In (0.749, 0.257, 0.756)
In (0.749, 0.756, 0.257)
Sn (0.235, 0.255, 0.255)
Sn (0.500, 0.023, 0.023)
Sn (0.765, 0.255, 0.255)

Most intense lines, 2θ from 10° to 80°, by angle:
2theta, I/Imax
32.52, 1000
36.62, 363
39.84, 139
52.76, 123
55.22, 208
63.35, 140
63.37, 139
67.73, 106
68.10, 108
77.86, 38

Diffraction record for In7Sn2. The powder X-ray diffraction pattern is simulated, not measured: it uses a structure optimized by DFT (PBE) and Cu Kα (λ = 1.5418 Å).
Peak positions follow from Bragg's law for the DFT cell and can differ from measured ones.

Unit cell a=5.908 b=5.908 c=8.127 alpha=90.00 beta=90.00 gamma=120.00
Fractional positions:
In (0.000, 0.000, 0.000)
In (0.000, 0.334, 0.668)
In (0.000, 0.666, 0.332)
In (0.334, 0.000, 0.668)
In (0.334, 0.334, 0.332)
In (0.666, 0.000, 0.332)
In (0.666, 0.666, 0.668)
Sn (0.333, 0.667, 0.000)
Sn (0.667, 0.333, 0.000)

Most intense lines, 2θ from 10° to 80°, by angle:
2theta, I/Imax
32.24, 1000
33.07, 312
37.65, 656
53.74, 230
54.84, 216
64.08, 134
64.57, 262
65.55, 126
67.47, 115
69.39, 35

Diffraction record for In2Sn7. The powder X-ray diffraction pattern is simulated, not measured: it uses a structure optimized by DFT (PBE) and Cu Kα (λ = 1.5418 Å).
Peak positions follow from Bragg's law for the DFT cell and can differ from measured ones.

Unit cell a=5.758 b=5.758 c=8.707 alpha=90.04 beta=90.04 gamma=119.97
Fractional positions:
In (0.167, 0.833, 0.000)
In (0.833, 0.167, 0.000)
Sn (0.169, 0.500, 0.331)
Sn (0.170, 0.170, 0.670)
Sn (0.500, 0.169, 0.331)
Sn (0.500, 0.500, 0.000)
Sn (0.500, 0.831, 0.669)
Sn (0.830, 0.830, 0.330)
Sn (0.831, 0.500, 0.669)

Most intense lines, 2θ from 10° to 80°, by angle:
2theta, I/Imax
30.81, 390
32.76, 1000
37.45, 700
52.71, 265
55.26, 230
62.31, 161
64.61, 290
65.74, 138
68.67, 122
79.92, 55

Diffraction record for In4Sn3. The powder X-ray diffraction pattern is simulated, not measured: it uses a structure optimized by DFT (PBE) and Cu Kα (λ = 1.5418 Å).
Peak positions follow from Bragg's law for the DFT cell and can differ from measured ones.

Unit cell a=4.463 b=4.463 c=12.259 alpha=100.81 beta=100.81 gamma=59.88
Fractional positions:
In (0.070, 0.070, 0.214)
In (0.213, 0.213, 0.634)
In (0.787, 0.787, 0.366)
In (0.930, 0.930, 0.786)
Sn (0.355, 0.355, 0.064)
Sn (0.500, 0.500, 0.500)
Sn (0.645, 0.645, 0.936)

Most intense lines, 2θ from 10° to 80°, by angle:
2theta, I/Imax
28.83, 506
28.99, 1000
40.45, 617
42.25, 352
42.41, 175
50.50, 321
53.60, 84
60.09, 124
66.42, 93
66.70, 186

Diffraction record for InSn4. The powder X-ray diffraction pattern is simulated, not measured: it uses a structure optimized by DFT (PBE) and Cu Kα (λ = 1.5418 Å).
Peak positions follow from Bragg's law for the DFT cell and can differ from measured ones.

Unit cell a=14.209 b=14.209 c=3.100 alpha=90.00 beta=90.00 gamma=167.09
Fractional positions:
In (0.000, 0.000, 0.000)
Sn (0.199, 0.801, 0.000)
Sn (0.401, 0.599, 0.000)
Sn (0.599, 0.401, 0.000)
Sn (0.801, 0.199, 0.000)

Most intense lines, 2θ from 10° to 80°, by angle:
2theta, I/Imax
28.80, 666
31.69, 521
32.20, 1000
43.35, 446
43.74, 870
56.76, 203
64.89, 275
65.78, 133
69.43, 228
74.86, 186

Diffraction record for InSn4. The powder X-ray diffraction pattern is simulated, not measured: it uses a structure optimized by DFT (PBE) and Cu Kα (λ = 1.5418 Å).
Peak positions follow from Bragg's law for the DFT cell and can differ from measured ones.

Unit cell a=8.658 b=8.658 c=8.658 alpha=158.41 beta=144.33 gamma=42.08
Fractional positions:
In (0.000, 0.000, 0.000)
Sn (0.196, 0.196, 0.000)
Sn (0.394, 0.394, 0.000)
Sn (0.606, 0.606, 0.000)
Sn (0.804, 0.804, 0.000)

Most intense lines, 2θ from 10° to 80°, by angle:
2theta, I/Imax
32.40, 1000
33.81, 226
39.35, 293
52.83, 253
56.77, 52
59.59, 179
66.92, 127
67.07, 117
67.73, 63
67.92, 57